Starting from a DFT-relaxed cell (GGA-PBE, OQMD), the powder diffractogram of Cs4ZnO3 was calculated for Cu Kα, 1.54184 Å.
No peak broadening, texture or thermal motion is included.

Largest 6 diffraction maxima, by angle, 2θ from 5° to 70°:
d = 3.498 Å, intensity 34.2, (1 2 1); d = 3.218 Å, intensity 35.8, (2 0 0); d = 3.177 Å, intensity 34.4, (0 0 2); d = 3.163 Å, intensity 100.0, (1 5 -1); d = 3.001 Å, intensity 38.6, (2 0 -2); d = 2.651 Å, intensity 49.2, (1 5 1)

Structural model:
Unit cell a=7.137 b=18.607 c=7.049 alpha=90.00 beta=115.63 gamma=90.00
Sites, in units of the cell vectors:
Cs1 0.154 0.076 0.155
Cs2 0.154 0.424 0.655
Cs3 0.210 0.696 0.177
Cs4 0.210 0.804 0.677
Cs5 0.295 0.501 0.207
Cs6 0.295 0.999 0.707
Cs7 0.326 0.195 0.783
Cs8 0.326 0.305 0.283
Cs9 0.674 0.695 0.717
Cs10 0.674 0.805 0.217
Cs11 0.705 0.001 0.293
Cs12 0.705 0.499 0.793
Cs13 0.790 0.196 0.323
Cs14 0.790 0.304 0.823
Cs15 0.846 0.576 0.345
Cs16 0.846 0.924 0.845
Zn1 0.287 0.617 0.788
Zn2 0.287 0.883 0.288
Zn3 0.713 0.117 0.712
Zn4 0.713 0.383 0.212
O1 0.035 0.593 0.810
O2 0.035 0.907 0.310
O3 0.310 0.599 0.530
O4 0.310 0.901 0.030
O5 0.489 0.164 0.480
O6 0.489 0.336 0.980
O7 0.511 0.664 0.020
O8 0.511 0.836 0.520
O9 0.690 0.099 0.970
O10 0.690 0.401 0.470
O11 0.965 0.093 0.690
O12 0.965 0.407 0.190